Computed powder XRD pattern of TmScO3 for Cu Ka, from a PBE-relaxed structure.
Intensities are scaled so that the largest is 1000.

Peak list (10 most intense, 2θ from 5° to 70°, sorted by position)
- 2θ = 22.35°, intensity 245
- 2θ = 22.69°, intensity 350
- 2θ = 25.34°, intensity 211
- 2θ = 31.39°, intensity 171
- 2θ = 32.06°, intensity 1000
- 2θ = 33.20°, intensity 212
- 2θ = 46.34°, intensity 154
- 2θ = 47.81°, intensity 146
- 2θ = 52.34°, intensity 201
- 2θ = 58.60°, intensity 266

Cell and atoms:
```
TmScO3
1.0
5.6991 0.0000 0.0000
0.0000 7.9542 0.0000
0.0000 0.0000 5.3973
Tm Sc O
4 4 12
Cartesian
0.3592 1.9885 0.1174
2.4904 5.9656 2.8161
3.2087 1.9885 2.5812
5.3399 5.9656 5.2798
0.0000 0.0000 2.6986
0.0000 3.9771 2.6986
2.8496 0.0000 0.0000
2.8496 3.9771 0.0000
0.3635 5.9656 1.9528
1.0971 4.5537 4.3736
1.0971 7.3776 4.3736
1.7524 0.5766 1.6750
1.7524 3.4005 1.6750
2.4860 1.9885 4.6514
3.2131 5.9656 0.7458
3.9467 4.5537 3.7223
3.9467 7.3776 3.7223
4.6020 0.5766 1.0237
4.6020 3.4005 1.0237
5.3356 1.9885 3.4445
```

Computed powder XRD pattern of TmSc3O for Cu Ka, from a PBE-relaxed structure.
Intensities are scaled so that the largest is 1000.

Peak list (10 most intense, 2θ from 5° to 70°, sorted by position)
- 2θ = 20.06°, intensity 323
- 2θ = 21.73°, intensity 437
- 2θ = 22.62°, intensity 336
- 2θ = 26.40°, intensity 187
- 2θ = 31.00°, intensity 266
- 2θ = 34.37°, intensity 359
- 2θ = 34.59°, intensity 651
- 2θ = 35.56°, intensity 1000
- 2θ = 46.95°, intensity 238
- 2θ = 62.33°, intensity 183

Cell and atoms:
```
TmSc3O
1.0
5.9774 0.0000 0.0000
0.0000 5.2187 0.0000
-0.0196 0.0000 6.5881
Tm Sc O
2 6 2
Cartesian
0.9491 0.0000 1.6401
5.0087 2.6093 4.9480
1.0967 0.0671 4.9344
2.1789 2.6253 3.3083
2.1715 2.6220 6.5707
3.7863 0.0127 0.0174
3.7789 0.0160 3.2798
4.8611 2.6764 1.6537
2.9560 3.9201 1.6474
3.0018 1.3107 4.9408
```

Computed powder XRD pattern of TmSc2O4 for Cu Ka, from a PBE-relaxed structure.
Intensities are scaled so that the largest is 1000.

Peak list (10 most intense, 2θ from 5° to 70°, sorted by position)
- 2θ = 17.21°, intensity 253
- 2θ = 19.16°, intensity 615
- 2θ = 31.23°, intensity 1000
- 2θ = 34.59°, intensity 176
- 2θ = 34.77°, intensity 379
- 2θ = 39.93°, intensity 371
- 2θ = 42.84°, intensity 321
- 2θ = 46.58°, intensity 140
- 2θ = 54.08°, intensity 162
- 2θ = 56.19°, intensity 146

Cell and atoms:
```
TmSc2O4
1.0
1.5570 -5.1860 0.0000
1.5570 5.1860 0.0000
0.0000 0.0000 10.3067
Tm Sc O
2 4 8
Cartesian
1.5570 3.9200 7.7300
1.5570 -3.9200 2.5767
1.5570 1.3255 5.8695
1.5570 1.3255 9.5906
1.5570 -1.3255 0.7161
1.5570 -1.3255 4.4373
0.0000 0.0000 0.0000
0.0000 0.0000 5.1534
1.5570 2.3279 1.2068
1.5570 2.3279 3.9465
1.5570 0.3417 7.7300
1.5570 -0.3417 2.5767
1.5570 -2.3279 6.3602
1.5570 -2.3279 9.0999
```

Computed powder XRD pattern of TmScO3 for Cu Ka, from a PBE-relaxed structure.
Intensities are scaled so that the largest is 1000.

Peak list (10 most intense, 2θ from 5° to 70°, sorted by position)
- 2θ = 18.13°, intensity 343
- 2θ = 19.50°, intensity 498
- 2θ = 22.16°, intensity 168
- 2θ = 30.69°, intensity 1000
- 2θ = 32.38°, intensity 878
- 2θ = 37.35°, intensity 434
- 2θ = 45.21°, intensity 407
- 2θ = 49.76°, intensity 292
- 2θ = 56.70°, intensity 390
- 2θ = 57.75°, intensity 281

Cell and atoms:
```
TmScO3
1.0
2.7650 1.5964 4.8938
-2.7650 1.5964 4.8938
0.0000 -3.1928 4.8938
Tm Sc O
2 2 6
Cartesian
0.0000 0.0000 2.0529
0.0000 0.0000 12.6285
0.0000 0.0000 5.1913
0.0000 0.0000 9.4900
-1.8819 -0.2155 6.0875
-0.7543 -1.7376 8.5938
1.1276 -1.5220 6.0875
-1.1276 1.5220 8.5938
0.7543 1.7376 6.0875
1.8819 0.2155 8.5939
```

Computed powder XRD pattern of Tm2Sc6O for Cu Ka, from a PBE-relaxed structure.
Intensities are scaled so that the largest is 1000.

Peak list (10 most intense, 2θ from 5° to 70°, sorted by position)
- 2θ = 15.17°, intensity 844
- 2θ = 20.05°, intensity 610
- 2θ = 29.80°, intensity 351
- 2θ = 30.62°, intensity 371
- 2θ = 30.98°, intensity 351
- 2θ = 31.25°, intensity 599
- 2θ = 32.46°, intensity 1000
- 2θ = 33.09°, intensity 799
- 2θ = 33.30°, intensity 464
- 2θ = 38.59°, intensity 340

Cell and atoms:
```
Tm2Sc6O
1.0
6.0631 0.0000 0.0000
0.0000 8.8565 0.0000
-3.5610 0.0000 7.7672
Tm Sc O
4 12 2
Cartesian
-0.1775 0.1146 3.2650
-1.9581 4.3136 7.1485
4.4601 4.5429 0.6186
2.6796 8.7419 4.5022
-0.8428 5.4851 4.0352
0.9377 7.7997 0.1516
-1.4783 1.3858 6.2672
0.3022 3.0425 2.3836
1.5902 5.8471 2.3405
-0.1903 7.4377 6.2241
2.6924 1.4189 1.5431
0.9119 3.0094 5.4267
2.1999 5.8140 5.3836
3.9804 7.4708 1.5000
1.5643 1.0568 7.6156
3.3449 3.3714 3.7320
3.0316 0.0000 0.0000
1.2510 4.4283 3.8836
```